No. 1
Starting from a cell relaxed with GGA-PBE, the X-ray diffraction stick pattern of K3Cd2 was simulated for copper Kα.
Peak positions follow from Bragg's law for the DFT cell and can differ from measured ones.

Principal peaks in the range 2θ = 10–90°, in order of rising 2θ:
2theta  d [Å]  I_rel
14.27  6.208  1000
21.45  4.142  626
25.86  3.446  783
30.57  2.924  603
31.47  2.842  496
44.42  2.040  371

Cell and atoms:
```
K3Cd2
1.0
4.1424 2.3916 8.2554
-4.1424 2.3916 8.2554
0.0000 -4.7832 8.2554
K Cd
6 4
Direct
0.1605 0.7500 0.3395 K
0.2500 0.6605 0.8395 K
0.3395 0.1605 0.7500 K
0.6605 0.8395 0.2500 K
0.7500 0.3395 0.1605 K
0.8395 0.2500 0.6605 K
0.1911 0.1911 0.1911 Cd
0.3089 0.3089 0.3089 Cd
0.6911 0.6911 0.6911 Cd
0.8089 0.8089 0.8089 Cd
```


No. 2
Starting from a cell relaxed with GGA-PBE, the X-ray diffraction stick pattern of K2LaCd was simulated for copper Kα.
Peak positions follow from Bragg's law for the DFT cell and can differ from measured ones.

Principal peaks in the range 2θ = 10–90°, in order of rising 2θ:
2theta  d [Å]  I_rel
19.94  4.452  914
26.87  3.318  1000
29.49  3.029  790
30.11  2.968  850
32.67  2.741  637
37.32  2.409  664

Cell and atoms:
```
K2LaCd
1.0
5.6946 -1.9905 0.0000
5.6946 1.9905 0.0000
-2.9599 0.0000 8.9036
K La Cd
2 1 1
Direct
0.0000 0.0000 0.0000 K
0.1728 0.1728 0.6649 K
0.3530 0.3530 0.3331 La
0.6363 0.6363 0.3324 Cd
```


No. 3
Starting from a cell relaxed with GGA-PBE, the X-ray diffraction stick pattern of KLiCd11 was simulated for copper Kα.
Peak positions follow from Bragg's law for the DFT cell and can differ from measured ones.

Principal peaks in the range 2θ = 10–90°, in order of rising 2θ:
2theta  d [Å]  I_rel
30.27  2.953  373
34.97  2.566  643
35.17  2.552  1000
35.23  2.548  289
39.36  2.289  959
39.50  2.281  368

Cell and atoms:
```
KLiCd11
1.0
2.9712 -7.1908 0.0000
2.9712 7.1908 0.0000
-2.9399 0.0000 7.2321
K Li Cd
1 1 11
Direct
0.0000 0.0000 0.0000 K
0.0000 0.0000 0.5000 Li
0.0000 0.5000 0.0000 Cd
0.0133 0.6662 0.6434 Cd
0.2728 0.4860 0.7776 Cd
0.3338 0.9867 0.3566 Cd
0.4860 0.2728 0.7776 Cd
0.5000 0.0000 0.0000 Cd
0.5000 0.5000 0.5000 Cd
0.5140 0.7272 0.2224 Cd
0.6662 0.0133 0.6434 Cd
0.7272 0.5140 0.2224 Cd
0.9867 0.3338 0.3566 Cd
```


No. 4
Starting from a cell relaxed with GGA-PBE, the X-ray diffraction stick pattern of K2LiCd was simulated for copper Kα.
Peak positions follow from Bragg's law for the DFT cell and can differ from measured ones.

Principal peaks in the range 2θ = 10–90°, in order of rising 2θ:
2theta  d [Å]  I_rel
22.18  4.007  479
23.86  3.729  838
28.34  3.149  1000
31.57  2.834  669
34.63  2.591  581
41.51  2.176  419

Cell and atoms:
```
K2LiCd
1.0
4.0072 0.0000 0.0000
0.0000 4.0072 0.0000
0.0000 0.0000 10.1865
K Li Cd
2 1 1
Direct
0.0000 0.0000 0.0000 K
0.5000 0.5000 0.3892 K
0.0000 0.0000 0.6655 Li
0.5000 0.5000 0.7460 Cd
```


No. 5
Starting from a cell relaxed with GGA-PBE, the X-ray diffraction stick pattern of KLiCdSe was simulated for copper Kα.
Peak positions follow from Bragg's law for the DFT cell and can differ from measured ones.

Principal peaks in the range 2θ = 10–90°, in order of rising 2θ:
2theta  d [Å]  I_rel
14.91  5.941  289
22.45  3.961  575
30.10  2.968  1000
32.88  2.724  608
41.66  2.168  366
42.37  2.133  380

Cell and atoms:
```
KLiCdSe
1.0
4.3354 0.0000 0.0000
0.0000 4.3354 0.0000
0.0000 0.0000 11.8818
K Li Cd Se
2 2 2 2
Direct
0.2500 0.2500 0.2203 K
0.7500 0.7500 0.7797 K
0.2500 0.7500 0.0000 Li
0.7500 0.2500 0.0000 Li
0.2500 0.7500 0.5000 Cd
0.7500 0.2500 0.5000 Cd
0.2500 0.2500 0.8770 Se
0.7500 0.7500 0.1230 Se
```


No. 6
Starting from a cell relaxed with GGA-PBE, the X-ray diffraction stick pattern of KMg6Cd6 was simulated for copper Kα.
Peak positions follow from Bragg's law for the DFT cell and can differ from measured ones.

Principal peaks in the range 2θ = 10–90°, in order of rising 2θ:
2theta  d [Å]  I_rel
17.34  5.114  1000
34.63  2.591  364
34.84  2.575  879
35.10  2.557  323
38.97  2.311  406
39.18  2.299  876

Cell and atoms:
```
KMg6Cd6
1.0
-2.9658 5.1137 5.1812
2.9658 -5.1137 5.1812
2.9658 5.1137 -5.1812
K Mg Cd
1 6 6
Direct
0.0000 0.0000 0.0000 K
0.2152 0.7152 0.5000 Mg
0.3533 0.0000 0.3533 Mg
0.3538 0.3538 0.0000 Mg
0.6462 0.6462 0.0000 Mg
0.6467 0.0000 0.6467 Mg
0.7848 0.2848 0.5000 Mg
0.0000 0.0000 0.5000 Cd
0.0000 0.5000 0.0000 Cd
0.2235 0.5000 0.7235 Cd
0.5000 0.0000 0.0000 Cd
0.5000 0.5000 0.5000 Cd
0.7765 0.5000 0.2765 Cd
```